KCo2Mo2O10: simulated XRD peak list (Cu Kα (weighted mean of Kα1 and Kα2)), based on a cell relaxed with GGA+U.

Structural model:
Unit cell a=10.147 b=5.982 c=8.766 alpha=90.00 beta=116.62 gamma=90.00
Space group C2/m (No. 12)
Asymmetric unit:
K (0.000, 0.000, 0.000) [2 per cell]
Co (0.250, 0.250, 0.500) [4 per cell]
Mo (0.055, 0.500, 0.734) [4 per cell]
O (0.058, 0.253, 0.294) [8 per cell]
O (0.155, 0.500, 0.600) [4 per cell]
O (0.188, 0.500, 0.945) [4 per cell]
O (0.199, 0.000, 0.574) [4 per cell]

Top 10 peaks for 15 to 90 degrees two-theta, sorted by position:
h k l  2θ (°)  d [Å]  Rel. int.
1 1 0  17.76  4.994  100.0
1 1 -1  18.56  4.779  57.7
2 0 -2  22.37  3.974  82.4
1 1 -2  25.19  3.535  73.6
2 0 1  26.76  3.332  46.2
3 1 -1  30.41  2.939  61.1
1 1 2  32.33  2.769  34.0
2 2 -1  34.92  2.569  49.3
2 0 2  36.40  2.468  34.0
4 2 -3  50.09  1.821  45.9